Entry 1:
Simulated powder diffraction line list
Compound: DyTcB
Radiation: a wavelength of 1.5418 Å
Structure: a DFT-relaxed cell (PBE, Alexandria)

Lattice parameters (Å, degrees): 4.234 4.251 5.427 90.00 90.00 90.00
Space group Pmmn (No. 59, origin choice 2)
Unique sites:
Dy1 0.250 0.250 0.124
Tc1 0.250 0.750 0.525
B1 0.250 0.250 0.611

Peak list (8 most intense, 2θ = 5–70°, sorted by position)
two_theta, I (rel.), index
26.66, 51, 0 1 1
34.15, 100, 1 1 1
39.43, 46, 1 0 2
42.54, 23, 0 2 0
42.71, 22, 2 0 0
51.05, 11, 2 1 1
59.40, 18, 1 2 2
61.86, 15, 2 2 0

Entry 2:
Simulated powder diffraction line list
Compound: Co2AuSe4
Radiation: a wavelength of 1.5418 Å
Structure: a DFT-relaxed cell (PBE, Alexandria)

Lattice parameters (Å, degrees): 12.388 3.602 12.176 90.00 90.00 90.00
Space group Pnma (No. 62)
Unique sites:
Co1 0.095 0.250 0.081
Co2 0.172 0.250 0.708
Au1 0.120 0.250 0.435
Se1 0.032 0.250 0.889
Se2 0.072 0.750 0.631
Se3 0.211 0.250 0.250
Se4 0.211 0.750 0.050

Peak list (8 most intense, 2θ = 5–70°, sorted by position)
two_theta, I (rel.), index
26.25, 58, 2 0 3
26.80, 55, 1 1 1
28.67, 84, 2 1 0
29.71, 85, 1 1 2
39.77, 51, 2 0 5
44.58, 100, 4 1 3
44.70, 45, 0 0 6
50.69, 46, 0 2 0

Entry 3:
Simulated powder diffraction line list
Compound: Th2TeAu
Radiation: a wavelength of 1.5418 Å
Structure: a DFT-relaxed cell (PBE, Alexandria)

Lattice parameters (Å, degrees): 6.250 6.251 12.408 90.04 90.05 90.03
Space group P-1 (No. 2)
Unique sites:
Th1 0.000 0.249 0.114
Th2 0.000 0.251 0.636
Th3 0.500 0.249 0.386
Th4 0.500 0.251 0.864
Te1 0.000 0.249 0.375
Te2 0.500 0.249 0.125
Au1 0.000 0.251 0.875
Au2 0.500 0.251 0.625

Peak list (8 most intense, 2θ = 5–70°, sorted by position)
two_theta, I (rel.), index
28.56, 100, 2 0 0
28.78, 47, 0 0 4
40.83, 39, 2 2 0
40.99, 74, 2 0 4
50.72, 40, 2 2 4
66.95, 18, 4 2 0
67.06, 18, 4 0 4
67.41, 15, 2 0 8

Entry 4:
Simulated powder diffraction line list
Compound: LiIn2S3
Radiation: a wavelength of 1.5418 Å
Structure: a DFT-relaxed cell (PBE, Alexandria)

Lattice parameters (Å, degrees): 8.531 26.275 11.058 90.00 90.00 90.00
Space group Fdd2 (No. 43)
Unique sites:
Li1 0.005 0.340 0.000
In1 0.000 0.000 0.502
In2 0.000 0.000 0.955
In3 0.025 0.328 0.486
S1 0.006 0.421 0.874
S2 0.014 0.257 0.886
S3 0.024 0.397 0.335

Peak list (8 most intense, 2θ = 5–70°, sorted by position)
two_theta, I (rel.), index
13.51, 25, 0 4 0
16.57, 68, 1 3 1
25.96, 89, 0 6 2
26.39, 100, 2 0 2
29.23, 23, 2 6 0
44.18, 59, 2 6 4
49.62, 30, 2 12 2
50.37, 23, 4 6 2

Entry 5:
Simulated powder diffraction line list
Compound: ErScHg4
Radiation: a wavelength of 1.5418 Å
Structure: a DFT-relaxed cell (PBE, Alexandria)

Lattice parameters (Å, degrees): 3.802 5.097 7.459 90.00 104.81 90.00
Space group Pm (No. 6)
Unique sites:
Er1 0.000 0.000 0.000
Sc1 0.796 0.500 0.587
Hg1 0.133 0.500 0.263
Hg2 0.330 0.000 0.661
Hg3 0.460 0.500 0.915
Hg4 0.668 0.000 0.335

Peak list (8 most intense, 2θ = 5–70°, sorted by position)
two_theta, I (rel.), index
29.96, 16, 1 0 -2
34.86, 100, 1 1 1
35.22, 28, 0 2 0
37.41, 14, 0 0 3
41.54, 16, 0 1 3
47.85, 12, 2 0 -1
60.79, 12, 2 2 -1
62.96, 27, 1 3 1

Entry 6:
Simulated powder diffraction line list
Compound: ErPd6Pt4
Radiation: a wavelength of 1.5418 Å
Structure: a DFT-relaxed cell (PBE, Alexandria)

Lattice parameters (Å, degrees): 4.563 5.539 14.821 90.00 90.00 90.00
Space group Amm2 (No. 38)
Unique sites:
Er1 0.000 0.000 0.000
Pd1 0.000 0.000 0.461
Pd2 0.000 0.247 0.296
Pd3 0.500 0.000 0.744
Pd4 0.500 0.249 0.086
Pt1 0.000 0.000 0.638
Pt2 0.500 0.000 0.244
Pt3 0.500 0.249 0.405

Peak list (8 most intense, 2θ = 5–70°, sorted by position)
two_theta, I (rel.), index
31.15, 25, 1 0 4
38.01, 19, 1 2 0
39.50, 71, 2 0 0
39.98, 100, 1 2 2
40.67, 27, 0 2 4
41.57, 90, 1 0 6
45.47, 53, 1 2 4
57.99, 19, 2 2 4

Entry 7:
Simulated powder diffraction line list
Compound: NdSeO5
Radiation: a wavelength of 1.5418 Å
Structure: a DFT-relaxed cell (PBE, Alexandria)

Lattice parameters (Å, degrees): 7.435 7.435 4.680 90.00 90.00 90.00
Space group P4/nmm (No. 129, origin choice 2)
Unique sites:
Nd1 0.250 0.250 0.238
Se1 0.250 0.750 0.000
O1 0.068 0.750 0.793
O2 0.250 0.250 0.736

Peak list (8 most intense, 2θ = 5–70°, sorted by position)
two_theta, I (rel.), index
22.45, 77, 1 0 1
23.94, 100, 2 0 0
33.05, 23, 2 1 1
34.11, 24, 2 2 0
41.22, 26, 3 0 1
42.27, 32, 1 1 2
48.22, 18, 3 2 1
55.39, 38, 3 1 2

Entry 8:
Simulated powder diffraction line list
Compound: ErGa3CoAu
Radiation: a wavelength of 1.5418 Å
Structure: a DFT-relaxed cell (PBE, Alexandria)

Lattice parameters (Å, degrees): 6.062 12.361 5.734 90.00 90.00 90.00
Space group Cmcm (No. 63)
Unique sites:
Er1 0.000 0.232 0.250
Ga1 0.000 0.366 0.750
Ga2 0.208 0.000 0.000
Co1 0.000 0.438 0.250
Au1 0.000 0.161 0.750

Peak list (8 most intense, 2θ = 5–70°, sorted by position)
two_theta, I (rel.), index
29.47, 46, 2 0 0
31.20, 36, 0 0 2
32.91, 57, 2 2 0
34.49, 57, 0 2 2
41.15, 36, 1 3 2
42.52, 100, 1 5 1
43.45, 91, 2 0 2
61.43, 33, 3 5 1

Entry 9:
Simulated powder diffraction line list
Compound: Ac2CdAg5
Radiation: a wavelength of 1.5418 Å
Structure: a DFT-relaxed cell (PBE, Alexandria)

Lattice parameters (Å, degrees): 4.738 17.347 10.053 90.00 90.00 90.00
Space group Cmcm (No. 63)
Unique sites:
Ac1 0.000 0.000 0.000
Ac2 0.000 0.207 0.250
Cd1 0.000 0.443 0.750
Ag1 0.000 0.182 0.610
Ag2 0.000 0.348 0.524
Ag3 0.000 0.397 0.250

Peak list (8 most intense, 2θ = 5–70°, sorted by position)
two_theta, I (rel.), index
26.35, 28, 1 1 2
30.18, 100, 1 3 2
31.97, 75, 1 5 0
33.15, 62, 1 1 3
35.83, 33, 0 6 2
37.98, 53, 2 0 0
53.17, 34, 2 0 4
60.78, 25, 1 3 6

Entry 10:
Simulated powder diffraction line list
Compound: CsAgPb2Br6
Radiation: a wavelength of 1.5418 Å
Structure: a DFT-relaxed cell (PBE, Alexandria)

Lattice parameters (Å, degrees): 7.826 7.926 8.322 89.53 62.12 60.43
Space group P1 (No. 1)
Unique sites:
Cs1 0.000 0.000 0.000
Ag1 0.934 0.536 0.603
Pb1 0.541 0.732 0.201
Pb2 0.572 0.218 0.653
Br1 0.063 0.810 0.416
Br2 0.064 0.538 0.875
Br3 0.407 0.128 0.411
Br4 0.514 0.951 0.898
Br5 0.636 0.416 0.904
Br6 0.751 0.462 0.407

Peak list (8 most intense, 2θ = 5–70°, sorted by position)
two_theta, I (rel.), index
15.40, 78, 1 0 0
21.42, 100, 1 1 -1
22.44, 77, 1 -1 1
26.04, 63, 1 2 -1
31.10, 87, 2 2 2
34.36, 62, 1 2 -2
39.21, 56, 0 3 -1
39.74, 73, 3 3 1

Entry 11:
Simulated powder diffraction line list
Compound: NaSiHg2S4
Radiation: a wavelength of 1.5418 Å
Structure: a DFT-relaxed cell (PBE, Alexandria)

Lattice parameters (Å, degrees): 8.843 8.852 10.682 90.00 90.00 90.00
Space group Fmm2 (No. 42)
Unique sites:
Na1 0.000 0.000 0.000
Si1 0.000 0.000 0.500
Hg1 0.250 0.250 0.250
S1 0.000 0.203 0.610
S2 0.203 0.000 0.390

Peak list (8 most intense, 2θ = 5–70°, sorted by position)
two_theta, I (rel.), index
16.60, 31, 0 0 2
20.07, 45, 2 0 0
26.16, 100, 2 0 2
28.54, 21, 2 2 0
33.19, 33, 2 2 2
40.80, 21, 4 0 0
44.61, 33, 2 2 4
49.11, 34, 4 2 2

Entry 12:
Simulated powder diffraction line list
Compound: PuNpRh
Radiation: a wavelength of 1.5418 Å
Structure: a DFT-relaxed cell (PBE, Alexandria)

Lattice parameters (Å, degrees): 7.948 5.827 6.288 90.00 128.77 90.00
Space group Cc (No. 9)
Unique sites:
Pu1 0.000 0.169 0.000
Np1 0.164 0.328 0.449
Rh1 0.334 0.169 0.966

Peak list (8 most intense, 2θ = 5–70°, sorted by position)
two_theta, I (rel.), index
20.99, 48, 1 1 -1
30.69, 31, 0 2 0
35.85, 100, 0 2 1
36.66, 62, 0 0 2
38.38, 92, 3 1 -1
38.50, 25, 3 1 -2
46.97, 44, 3 1 -3
59.83, 31, 3 3 -2